BaTlSnPbBr: theoretical X-ray powder pattern (Cu Ka), based on a cell relaxed with GGA-PBE.
Kinematic intensities with the Lorentz-polarization factor, no thermal factor.

```
data_BaTlSnPbBr
_chemical_formula_sum 'Ba1 Tl1 Sn1 Pb1 Br1'
_symmetry_space_group_name_H-M 'P m m 2'
_symmetry_Int_Tables_number 25
_cell_length_a 4.402
_cell_length_b 4.493
_cell_length_c 9.411
_cell_angle_alpha 90.00
_cell_angle_beta 90.00
_cell_angle_gamma 90.00
loop_
_symmetry_equiv_pos_as_xyz
'x,y,z'
'-x,-y,z'
'-x,y,z'
'x,-y,z'
loop_
_atom_site_label
_atom_site_type_symbol
_atom_site_fract_x
_atom_site_fract_y
_atom_site_fract_z
Ba1 Ba 0.000 0.000 0.000
Tl1 Tl 0.000 0.000 0.595
Sn1 Sn 0.500 0.000 0.339
Pb1 Pb 0.000 0.500 0.313
Br1 Br 0.500 0.500 0.885
```

Principal peaks in the range 2θ from 10° to 80°, in order of falling intensity:
Position (°2θ)	I_rel
29.96	1000
34.30	879
27.45	453
28.45	375
20.17	296
40.14	262
41.00	247
57.03	193
35.13	180
50.05	176
58.73	174
27.75	165

=====

BaSrPb2Br8: theoretical X-ray powder pattern (Cu Ka), based on a cell relaxed with GGA-PBE.
Kinematic intensities with the Lorentz-polarization factor, no thermal factor.

```
data_BaSrPb2Br8
_chemical_formula_sum 'Ba1 Sr1 Pb2 Br8'
_symmetry_space_group_name_H-M 'P 1 2/m 1'
_symmetry_Int_Tables_number 10
_cell_length_a 7.037
_cell_length_b 9.488
_cell_length_c 7.294
_cell_angle_alpha 90.00
_cell_angle_beta 90.56
_cell_angle_gamma 90.00
loop_
_symmetry_equiv_pos_as_xyz
'x,y,z'
'-x,-y,-z'
'-x,y,-z'
'x,-y,z'
loop_
_atom_site_label
_atom_site_type_symbol
_atom_site_fract_x
_atom_site_fract_y
_atom_site_fract_z
Ba1 Ba 0.000 0.000 0.000
Sr1 Sr 0.000 0.500 0.000
Pb1 Pb 0.500 0.255 0.500
Br1 Br 0.244 0.262 0.159
Br2 Br 0.265 0.500 0.659
Br3 Br 0.272 0.000 0.643
```

Principal peaks in the range 2θ from 10° to 80°, in order of falling intensity:
Position (°2θ)	I_rel
17.43	1000
33.93	935
25.67	915
17.60	911
22.60	812
41.75	785
34.11	784
37.93	521
27.66	470
33.41	421
42.06	419
33.60	362

=====

BaPdBr5: theoretical X-ray powder pattern (Cu Ka), based on a cell relaxed with GGA-PBE.
Kinematic intensities with the Lorentz-polarization factor, no thermal factor.

```
data_BaPdBr5
_chemical_formula_sum 'Ba4 Pd4 Br20'
_symmetry_space_group_name_H-M 'C 1 2/c 1'
_symmetry_Int_Tables_number 15
_cell_length_a 14.233
_cell_length_b 7.052
_cell_length_c 10.505
_cell_angle_alpha 90.00
_cell_angle_beta 111.19
_cell_angle_gamma 90.00
loop_
_symmetry_equiv_pos_as_xyz
'x,y,z'
'-x,-y,-z'
'-x,y,-z+1/2'
'x,-y,z+1/2'
'x+1/2,y+1/2,z'
'-x+1/2,-y+1/2,-z'
'-x+1/2,y+1/2,-z+1/2'
'x+1/2,-y+1/2,z+1/2'
loop_
_atom_site_label
_atom_site_type_symbol
_atom_site_fract_x
_atom_site_fract_y
_atom_site_fract_z
Ba1 Ba 0.000 0.011 0.250
Pd1 Pd 0.000 0.500 0.000
Br1 Br 0.000 0.476 0.750
Br2 Br 0.122 0.229 0.553
Br3 Br 0.140 0.263 0.083
```

Principal peaks in the range 2θ from 10° to 80°, in order of falling intensity:
Position (°2θ)	I_rel
13.34	1000
37.21	714
31.29	582
28.66	489
34.14	477
26.23	295
26.45	287
51.55	281
51.22	268
21.09	177
45.07	134
36.91	132

=====

BaPdBr4: theoretical X-ray powder pattern (Cu Ka), based on a cell relaxed with GGA-PBE.
Kinematic intensities with the Lorentz-polarization factor, no thermal factor.

```
data_BaPdBr4
_chemical_formula_sum 'Ba4 Pd4 Br16'
_symmetry_space_group_name_H-M 'C 1 2/c 1'
_symmetry_Int_Tables_number 15
_cell_length_a 8.974
_cell_length_b 7.017
_cell_length_c 14.127
_cell_angle_alpha 90.00
_cell_angle_beta 96.17
_cell_angle_gamma 90.00
loop_
_symmetry_equiv_pos_as_xyz
'x,y,z'
'-x,-y,-z'
'-x,y,-z+1/2'
'x,-y,z+1/2'
'x+1/2,y+1/2,z'
'-x+1/2,-y+1/2,-z'
'-x+1/2,y+1/2,-z+1/2'
'x+1/2,-y+1/2,z+1/2'
loop_
_atom_site_label
_atom_site_type_symbol
_atom_site_fract_x
_atom_site_fract_y
_atom_site_fract_z
Ba1 Ba 0.250 0.250 0.000
Pd1 Pd 0.000 0.232 0.250
Br1 Br 0.081 0.234 0.424
Br2 Br 0.230 0.270 0.775
```

Principal peaks in the range 2θ from 10° to 80°, in order of falling intensity:
Position (°2θ)	I_rel
25.38	1000
17.66	664
32.70	556
36.86	443
36.19	185
52.62	161
49.58	158
57.62	147
30.66	122
40.22	117
50.80	112
52.13	97